The following is a computed X-ray diffraction stick pattern of Pr7Nd2Ho. It was derived from DFT lattice parameters and positions (GGA-PBE), using CuKα.
Neutral-atom scattering factors, no anomalous dispersion.

Principal peaks in the range 2θ = 10–90°, in order of rising 2θ:
h k l  Position (°2θ)  d (Å)  I/Imax
0 0 1  16.0  5.532  25
0 4 1  26.3  3.387  19
2 4 0  29.0  3.080  36
0 0 2  32.4  2.767  100
3 1 1  34.8  2.576  37
2 4 2  44.0  2.058  23
3 9 1  60.2  1.537  17
5 5 1  61.2  1.514  16

Crystal structure
Cell lengths 8.861, 17.135, 5.532 Å; angles 90.00, 90.00, 90.00 degrees
Space group Cmmm (No. 65)
Asymmetric unit:
Pr  0.000  0.000  0.000
Pr  0.000  0.285  0.500
Pr  0.181  0.390  0.000
Nd  0.000  0.205  0.000
Ho  0.000  0.500  0.500